Computed powder X-ray diffraction pattern
Compound: Li3B8C8
Radiation: Cu Ka
Structure: a structure optimized by DFT (GGA-PBE)
No peak broadening, texture or thermal motion is included.

Largest 12 diffraction maxima, by angle, 2θ from 10° to 90°:
d/Å	two_theta	intensity	h k l
3.685	24.15	100	0 0 2
2.711	33.05	5	1 0 2
2.335	38.56	7	1 2 0
2.272	39.67	4	2 0 0
2.044	44.32	6	2 0 -2
2.028	44.68	10	1 2 -2
1.920	47.34	8	1 2 2
1.842	49.49	14	0 0 4
1.361	69.03	4	0 4 0
1.323	71.26	6	3 2 0
1.131	85.92	3	3 2 -4
1.094	89.57	4	0 4 4

Cell and atoms:
Cell lengths 4.5752, 5.4425, 7.4215 Å; angles 90.00, 96.74, 90.00 degrees
Atoms (fractional coordinates):
Li  0.0000  0.0000  0.0000
Li  0.0000  0.0000  0.5000
Li  0.0000  0.5000  0.0000
B  0.1891  0.2516  0.2684
B  0.1891  0.7484  0.2684
B  0.3175  0.5000  0.7640
B  0.3242  0.0000  0.7718
B  0.6758  0.0000  0.2282
B  0.6825  0.5000  0.2360
B  0.8109  0.2516  0.7316
B  0.8109  0.7484  0.7316
C  0.1588  0.2486  0.7691
C  0.1588  0.7514  0.7691
C  0.3453  0.0000  0.2699
C  0.3485  0.5000  0.2672
C  0.6515  0.5000  0.7328
C  0.6547  0.0000  0.7301
C  0.8412  0.2486  0.2309
C  0.8412  0.7514  0.2309